# 1
# La3Ga8Au3
Simulated powder X-ray diffraction pattern, λ = 1.5418 Å (Cu Kα). Input: a crystal structure in Alexandria, relaxed with PBE.
Neutral-atom scattering factors, no anomalous dispersion.

Most intense lines, 10° ≤ 2θ ≤ 90°, low angle first:
Position (°2θ)  intensity  h k l
11.3  156  0 1 1
13.2  174  0 0 2
27.9  228  1 2 1
33.9  1000  1 2 3
34.4  150  0 3 3
36.9  282  1 3 2
40.1  306  2 0 0
40.5  214  0 0 6
44.0  128  1 3 4
58.3  145  2 0 6

Crystal structure
Lattice parameters (Å, degrees): 4.4955 9.6450 13.3772 90.00 90.00 90.00
Space group Immm (No. 71)
Unique sites:
1 La 0.0000 0.0000 0.0000 x2
2 La 0.0000 0.0000 0.3066 x4
3 Ga 0.0000 0.2788 0.1424 x8
4 Ga 0.0000 0.3678 0.3379 x8
5 Au 0.0000 0.2098 0.5000 x4
6 Au 0.0000 0.5000 0.0000 x2

---

# 2
# La3Ga3Au8
Simulated powder X-ray diffraction pattern, λ = 1.5418 Å (Cu Kα). Input: a crystal structure in Alexandria, relaxed with PBE.
Neutral-atom scattering factors, no anomalous dispersion.

Most intense lines, 10° ≤ 2θ ≤ 90°, low angle first:
Position (°2θ)  intensity  h k l
33.1  389  1 1 2
33.2  524  3 1 1
33.6  1000  5 1 -2
35.0  265  3 1 -3
37.1  362  1 1 -3
37.4  243  5 1 0
38.3  716  0 2 0
38.6  265  6 0 0
43.3  232  1 1 3
44.2  355  7 1 -3

Crystal structure
Lattice parameters (Å, degrees): 16.5709 4.6979 9.1949 90.00 122.32 90.00
Space group C2/m (No. 12)
Unique sites:
1 La 0.0000 0.0000 0.0000 x2
2 La 0.2045 0.5000 0.7208 x4
3 Ga 0.0000 0.0000 0.5000 x2
4 Ga 0.1683 0.5000 0.3248 x4
5 Au 0.0073 0.5000 0.3288 x4
6 Au 0.1275 0.0000 0.8384 x4
7 Au 0.1415 0.0000 0.4272 x4
8 Au 0.1494 0.5000 0.0304 x4

---

# 3
# LaMg2GaAu4
Simulated powder X-ray diffraction pattern, λ = 1.5418 Å (Cu Kα). Input: a crystal structure in Alexandria, relaxed with PBE.
Neutral-atom scattering factors, no anomalous dispersion.

Most intense lines, 10° ≤ 2θ ≤ 90°, low angle first:
Position (°2θ)  intensity  h k l
23.2  213  0 1 2
25.9  573  1 0 4
32.1  283  1 0 7
34.6  835  0 1 8
39.1  1000  1 1 0
40.0  189  1 0 10
42.9  240  0 1 11
53.2  246  2 0 8
65.4  234  1 1 15
68.0  237  1 2 8

Crystal structure
Lattice parameters (Å, degrees): 4.6053 4.6053 27.2842 90.00 90.00 120.00
Space group R-3m (No. 166, hexagonal axes)
Unique sites:
1 La 0.0000 0.0000 0.0000 x3
2 Mg 0.0000 0.0000 0.2370 x6
3 Ga 0.0000 0.0000 0.5000 x3
4 Au 0.0000 0.0000 0.1287 x6
5 Au 0.0000 0.0000 0.3971 x6

---

# 4
# LaGa2PtAu2
Simulated powder X-ray diffraction pattern, λ = 1.5418 Å (Cu Kα). Input: a crystal structure in Alexandria, relaxed with PBE.
Neutral-atom scattering factors, no anomalous dispersion.

Most intense lines, 10° ≤ 2θ ≤ 90°, low angle first:
Position (°2θ)  intensity  h k l
25.9  769  1 1 0
36.4  1000  1 0 2
37.0  705  2 0 0
52.8  695  2 1 2
53.3  248  2 2 0
60.1  155  3 1 0
66.2  177  3 0 2
77.2  157  2 0 4
78.3  223  3 2 2
89.9  167  4 1 2

Crystal structure
Lattice parameters (Å, degrees): 4.8654 4.8654 5.7354 90.00 90.00 90.00
Space group P4/mmm (No. 123)
Unique sites:
1 La 0.0000 0.0000 0.0000 x1
2 Ga 0.0000 0.5000 0.5000 x2
3 Pt 0.0000 0.0000 0.5000 x1
4 Au 0.5000 0.5000 0.2357 x2

---

# 5
# LaGa2Pt2Au
Simulated powder X-ray diffraction pattern, λ = 1.5418 Å (Cu Kα). Input: a crystal structure in Alexandria, relaxed with PBE.
Neutral-atom scattering factors, no anomalous dispersion.

Most intense lines, 10° ≤ 2θ ≤ 90°, low angle first:
Position (°2θ)  intensity  h k l
15.5  129  0 0 1
26.5  738  1 1 0
36.6  1000  1 0 2
37.8  675  2 0 0
53.6  677  2 1 2
54.5  235  2 2 0
61.6  146  3 1 0
67.5  171  3 0 2
77.9  160  2 0 4
80.0  215  3 2 2

Crystal structure
Lattice parameters (Å, degrees): 4.7633 4.7633 5.7220 90.00 90.00 90.00
Space group P4/mmm (No. 123)
Unique sites:
1 La 0.0000 0.0000 0.0000 x1
2 Ga 0.0000 0.5000 0.5000 x2
3 Pt 0.5000 0.5000 0.2390 x2
4 Au 0.0000 0.0000 0.5000 x1

---

# 6
# La2GaSbAu6
Simulated powder X-ray diffraction pattern, λ = 1.5418 Å (Cu Kα). Input: a crystal structure in Alexandria, relaxed with PBE.
Neutral-atom scattering factors, no anomalous dispersion.

Most intense lines, 10° ≤ 2θ ≤ 90°, low angle first:
Position (°2θ)  intensity  h k l
18.4  244  0 0 2
27.5  662  0 2 2
31.7  394  1 2 2
36.4  718  2 0 2
37.4  1000  2 2 0
38.1  667  1 2 3
41.2  566  0 4 0
42.0  450  2 2 2
42.8  267  0 2 4
56.1  413  2 4 2

Crystal structure
Lattice parameters (Å, degrees): 5.7577 8.7562 9.6364 90.00 90.00 90.00
Space group Pmmn (No. 59, origin choice 2)
Unique sites:
1 La 0.2500 0.0023 0.2398 x4
2 Ga 0.2500 0.7500 0.7557 x2
3 Sb 0.2500 0.2500 0.7859 x2
4 Au 0.0010 0.7500 0.9725 x4
5 Au 0.0065 0.2500 0.4722 x4
6 Au 0.2500 0.0095 0.6057 x4